Theoretical powder X-ray diffraction pattern
Compound: Li6Mn3FeP6O24
Radiation: Cu Kα (weighted mean of Kα1 and Kα2)
Structure: a structure optimized by DFT (PBE+U)
Neutral-atom scattering factors, no anomalous dispersion.

Structural model:
```
data_Li6Mn3FeP6O24
_cell_length_a 8.502
_cell_length_b 8.554
_cell_length_c 8.800
_cell_angle_alpha 61.46
_cell_angle_beta 87.45
_cell_angle_gamma 60.27
_symmetry_space_group_name_H-M 'P 1'
_symmetry_Int_Tables_number 1
loop_
_symmetry_equiv_pos_as_xyz
'x,y,z'
loop_
_atom_site_label
_atom_site_type_symbol
_atom_site_fract_x
_atom_site_fract_y
_atom_site_fract_z
Li1 Li 0.000 0.000 0.000
Li2 Li 0.030 0.894 0.713
Li3 Li 0.067 0.459 0.474
Li4 Li 0.457 0.774 0.516
Li5 Li 0.533 0.087 0.276
Li6 Li 0.573 0.799 0.968
Mn1 Mn 0.073 0.186 0.369
Mn2 Mn 0.391 0.559 0.297
Mn3 Mn 0.869 0.566 0.777
Fe1 Fe 0.587 0.155 0.903
P1 P 0.207 0.626 0.609
P2 P 0.269 0.063 0.094
P3 P 0.457 0.093 0.564
P4 P 0.690 0.372 0.083
P5 P 0.776 0.361 0.595
P6 P 0.954 0.692 0.054
O1 O 0.011 0.687 0.649
O2 O 0.024 0.496 0.243
O3 O 0.103 0.251 0.937
O4 O 0.104 0.734 0.978
O5 O 0.212 0.586 0.452
O6 O 0.215 0.821 0.559
O7 O 0.250 0.147 0.549
O8 O 0.252 0.869 0.150
O9 O 0.279 0.089 0.258
O10 O 0.363 0.433 0.777
O11 O 0.465 0.006 0.058
O12 O 0.466 0.270 0.394
O13 O 0.520 0.069 0.737
O14 O 0.556 0.542 0.131
O15 O 0.577 0.534 0.474
O16 O 0.583 0.893 0.554
O17 O 0.619 0.235 0.093
O18 O 0.688 0.506 0.884
O19 O 0.776 0.207 0.784
O20 O 0.809 0.882 0.075
O21 O 0.842 0.682 0.928
O22 O 0.871 0.473 0.606
O23 O 0.891 0.226 0.207
O24 O 0.900 0.212 0.527
```

Most intense lines, 15 to 90 degrees two-theta, sorted by position:
- (1 0 1), d = 4.618 Å, 19.2 deg, intensity 85
- (1 1 -1), d = 4.414 Å, 20.1 deg, intensity 51
- (0 1 2), d = 4.382 Å, 20.3 deg, intensity 59
- (1 -1 0), d = 3.819 Å, 23.3 deg, intensity 57
- (2 1 1), d = 3.779 Å, 23.5 deg, intensity 69
- (1 2 0), d = 3.733 Å, 23.8 deg, intensity 73
- (2 1 -1), d = 3.610 Å, 24.7 deg, intensity 100
- (1 -1 1), d = 2.910 Å, 30.7 deg, intensity 54
- (1 2 3), d = 2.798 Å, 32.0 deg, intensity 52
- (2 1 -2), d = 2.732 Å, 32.8 deg, intensity 51